Theoretical PXRD pattern
Compound: K4MgPa3Te8
Radiation: Cu Kα (weighted mean of Kα1 and Kα2)
Structure: DFT lattice parameters and positions (GGA-PBE)
Kinematic intensities with the Lorentz-polarization factor, no thermal factor.

Cell: 9.807 9.807 9.807 Å, 53.86 53.86 53.86°
Positions (direct):
K 0.000 0.000 0.000
K 0.000 0.500 0.500
K 0.500 0.000 0.500
K 0.500 0.500 0.000
Mg 0.500 0.500 0.500
Pa 0.000 0.000 0.500
Pa 0.000 0.500 0.000
Pa 0.500 0.000 0.000
Te 0.239 0.239 0.239
Te 0.243 0.733 0.733
Te 0.267 0.267 0.757
Te 0.267 0.757 0.267
Te 0.733 0.243 0.733
Te 0.733 0.733 0.243
Te 0.757 0.267 0.267
Te 0.761 0.761 0.761

Principal peaks in the range 2θ = 15–90°, sorted by position:
- 2θ = 27.20°, 3.278 Å, intensity 100
- 2θ = 34.20°, 2.621 Å, intensity 20
- 2θ = 37.00°, 2.430 Å, intensity 37
- 2θ = 40.63°, 2.221 Å, intensity 36
- 2θ = 42.10°, 2.146 Å, intensity 12
- 2θ = 46.29°, 1.961 Å, intensity 14
- 2θ = 49.58°, 1.839 Å, intensity 19
- 2θ = 56.11°, 1.639 Å, intensity 11
- 2θ = 60.87°, 1.522 Å, intensity 12
- 2θ = 65.96°, 1.416 Å, intensity 16
- 2θ = 70.51°, 1.336 Å, intensity 9
- 2θ = 71.54°, 1.319 Å, intensity 10

---

Theoretical PXRD pattern
Compound: LiCdCu2F8
Radiation: Cu Kα (weighted mean of Kα1 and Kα2)
Structure: DFT lattice parameters and positions (GGA-PBE)
Kinematic intensities with the Lorentz-polarization factor, no thermal factor.

Cell: 6.393 6.393 6.393 Å, 130.41 130.41 72.76°
Positions (direct):
Li 0.000 0.000 0.000
Cd 0.250 0.750 0.500
Cu 0.500 0.500 0.000
Cu 0.750 0.250 0.500
F 0.025 0.357 0.948
F 0.233 0.372 0.541
F 0.308 0.767 0.139
F 0.409 0.077 0.052
F 0.628 0.169 0.861
F 0.643 0.591 0.667
F 0.831 0.692 0.459
F 0.923 0.975 0.333

Principal peaks in the range 2θ = 15–90°, sorted by position:
- 2θ = 17.23°, 5.147 Å, intensity 20
- 2θ = 18.66°, 4.756 Å, intensity 33
- 2θ = 23.46°, 3.792 Å, intensity 18
- 2θ = 29.26°, 3.053 Å, intensity 100
- 2θ = 33.42°, 2.681 Å, intensity 20
- 2θ = 34.86°, 2.573 Å, intensity 40
- 2θ = 38.55°, 2.335 Å, intensity 23
- 2θ = 47.99°, 1.896 Å, intensity 20
- 2θ = 49.07°, 1.857 Å, intensity 18
- 2θ = 57.20°, 1.610 Å, intensity 52
- 2θ = 59.11°, 1.563 Å, intensity 19
- 2θ = 60.67°, 1.526 Å, intensity 17

---

Theoretical PXRD pattern
Compound: Hg7Sb2I2
Radiation: Cu Kα (weighted mean of Kα1 and Kα2)
Structure: DFT lattice parameters and positions (GGA-PBE)
Kinematic intensities with the Lorentz-polarization factor, no thermal factor.

Cell: 8.207 8.207 6.001 Å, 95.56 95.56 88.23°
Positions (direct):
Hg 0.000 0.000 0.000
Hg 0.050 0.547 0.780
Hg 0.242 0.242 0.599
Hg 0.453 0.950 0.220
Hg 0.547 0.050 0.780
Hg 0.758 0.758 0.401
Hg 0.950 0.453 0.220
Sb 0.237 0.237 0.105
Sb 0.763 0.763 0.895
I 0.274 0.726 0.500
I 0.726 0.274 0.500

Principal peaks in the range 2θ = 15–90°, sorted by position:
- 2θ = 15.18°, 5.838 Å, intensity 100
- 2θ = 27.64°, 3.227 Å, intensity 93
- 2θ = 30.63°, 2.919 Å, intensity 50
- 2θ = 31.02°, 2.883 Å, intensity 33
- 2θ = 31.32°, 2.856 Å, intensity 89
- 2θ = 31.88°, 2.807 Å, intensity 31
- 2θ = 33.99°, 2.637 Å, intensity 34
- 2θ = 34.97°, 2.566 Å, intensity 31
- 2θ = 35.65°, 2.519 Å, intensity 39
- 2θ = 36.01°, 2.494 Å, intensity 42
- 2θ = 38.36°, 2.346 Å, intensity 26
- 2θ = 44.37°, 2.042 Å, intensity 34

---

Copy entry 1 word for word.
Theoretical PXRD pattern
Compound: K4MgPa3Te8
Radiation: Cu Kα (weighted mean of Kα1 and Kα2)
Structure: DFT lattice parameters and positions (GGA-PBE)
Kinematic intensities with the Lorentz-polarization factor, no thermal factor.

Cell: 9.807 9.807 9.807 Å, 53.86 53.86 53.86°
Positions (direct):
K 0.000 0.000 0.000
K 0.000 0.500 0.500
K 0.500 0.000 0.500
K 0.500 0.500 0.000
Mg 0.500 0.500 0.500
Pa 0.000 0.000 0.500
Pa 0.000 0.500 0.000
Pa 0.500 0.000 0.000
Te 0.239 0.239 0.239
Te 0.243 0.733 0.733
Te 0.267 0.267 0.757
Te 0.267 0.757 0.267
Te 0.733 0.243 0.733
Te 0.733 0.733 0.243
Te 0.757 0.267 0.267
Te 0.761 0.761 0.761

Principal peaks in the range 2θ = 15–90°, sorted by position:
- 2θ = 27.20°, 3.278 Å, intensity 100
- 2θ = 34.20°, 2.621 Å, intensity 20
- 2θ = 37.00°, 2.430 Å, intensity 37
- 2θ = 40.63°, 2.221 Å, intensity 36
- 2θ = 42.10°, 2.146 Å, intensity 12
- 2θ = 46.29°, 1.961 Å, intensity 14
- 2θ = 49.58°, 1.839 Å, intensity 19
- 2θ = 56.11°, 1.639 Å, intensity 11
- 2θ = 60.87°, 1.522 Å, intensity 12
- 2θ = 65.96°, 1.416 Å, intensity 16
- 2θ = 70.51°, 1.336 Å, intensity 9
- 2θ = 71.54°, 1.319 Å, intensity 10

---

What did the third record say?
Theoretical PXRD pattern
Compound: Hg7Sb2I2
Radiation: Cu Kα (weighted mean of Kα1 and Kα2)
Structure: DFT lattice parameters and positions (GGA-PBE)
Kinematic intensities with the Lorentz-polarization factor, no thermal factor.

Cell: 8.207 8.207 6.001 Å, 95.56 95.56 88.23°
Positions (direct):
Hg 0.000 0.000 0.000
Hg 0.050 0.547 0.780
Hg 0.242 0.242 0.599
Hg 0.453 0.950 0.220
Hg 0.547 0.050 0.780
Hg 0.758 0.758 0.401
Hg 0.950 0.453 0.220
Sb 0.237 0.237 0.105
Sb 0.763 0.763 0.895
I 0.274 0.726 0.500
I 0.726 0.274 0.500

Principal peaks in the range 2θ = 15–90°, sorted by position:
- 2θ = 15.18°, 5.838 Å, intensity 100
- 2θ = 27.64°, 3.227 Å, intensity 93
- 2θ = 30.63°, 2.919 Å, intensity 50
- 2θ = 31.02°, 2.883 Å, intensity 33
- 2θ = 31.32°, 2.856 Å, intensity 89
- 2θ = 31.88°, 2.807 Å, intensity 31
- 2θ = 33.99°, 2.637 Å, intensity 34
- 2θ = 34.97°, 2.566 Å, intensity 31
- 2θ = 35.65°, 2.519 Å, intensity 39
- 2θ = 36.01°, 2.494 Å, intensity 42
- 2θ = 38.36°, 2.346 Å, intensity 26
- 2θ = 44.37°, 2.042 Å, intensity 34